Record 1
# Pr2OsC4
Computed XRD peak list, a wavelength of 1.5418 Å. Input: a cell relaxed with PBE.
No peak broadening, texture or thermal motion is included.

Crystal structure
abc: 7.9238 9.9984 5.4752
angles: 90.00 90.00 90.00
Space group Ibam (No. 72)
Inequivalent atoms, fractional coordinates:
Pr  0.1478  0.1511  0.0000
Os  0.0000  0.5000  0.2500
C  0.1686  0.1234  0.5000
C  0.1704  0.4270  0.0000

Main lines, sorted by position (10° ≤ 2θ ≤ 90°):
- 2θ = 26.6°, I 62
- 2θ = 29.1°, I 100
- 2θ = 29.2°, I 72
- 2θ = 35.1°, I 54
- 2θ = 35.8°, I 73
- 2θ = 55.7°, I 53

Record 2
# PrTh2OsC4
Computed XRD peak list, a wavelength of 1.5418 Å. Input: a cell relaxed with PBE.
No peak broadening, texture or thermal motion is included.

Crystal structure
abc: 3.6588 12.3454 12.7105
angles: 90.00 90.00 90.00
Space group Cmcm (No. 63)
Inequivalent atoms, fractional coordinates:
Pr  0.0000  0.0919  0.2500
Th  0.0000  0.3678  0.0421
Os  0.0000  0.1706  0.7500
C  0.0000  0.0000  0.0000
C  0.0000  0.2641  0.6308
C  0.0000  0.4091  0.2500

Main lines, sorted by position (10° ≤ 2θ ≤ 90°):
- 2θ = 28.1°, I 41
- 2θ = 28.9°, I 43
- 2θ = 29.1°, I 100
- 2θ = 33.2°, I 32
- 2θ = 35.7°, I 80
- 2θ = 38.3°, I 28

Record 3
# Pu3OsC3
Computed XRD peak list, a wavelength of 1.5418 Å. Input: a cell relaxed with PBE.
No peak broadening, texture or thermal motion is included.

Crystal structure
abc: 6.5246 5.1661 6.6154
angles: 90.00 98.22 90.00
Space group P2_1/m (No. 11)
Inequivalent atoms, fractional coordinates:
Pu  0.0806  0.2500  0.3314
Pu  0.3231  0.7500  0.0813
Pu  0.3801  0.7500  0.6222
Os  0.1891  0.2500  0.8094
C  0.0938  0.7500  0.3457
C  0.3407  0.2500  0.0896
C  0.3875  0.2500  0.6148

Main lines, sorted by position (10° ≤ 2θ ≤ 90°):
- 2θ = 32.4°, I 100
- 2θ = 32.7°, I 96
- 2θ = 34.7°, I 59
- 2θ = 36.2°, I 33
- 2θ = 42.0°, I 19
- 2θ = 51.0°, I 25

Record 4
# PuTh2OsC2
Computed XRD peak list, a wavelength of 1.5418 Å. Input: a cell relaxed with PBE.
No peak broadening, texture or thermal motion is included.

Crystal structure
abc: 5.9154 10.7264 3.8321
angles: 90.00 90.00 90.00
Space group Pnnm (No. 58)
Inequivalent atoms, fractional coordinates:
Pu  0.0000  0.0000  0.0000
Th  0.0506  0.2906  0.5000
Os  0.0000  0.5000  0.0000
C  0.2122  0.8943  0.5000

Main lines, sorted by position (10° ≤ 2θ ≤ 90°):
- 2θ = 29.2°, I 12
- 2θ = 30.2°, I 28
- 2θ = 32.5°, I 100
- 2θ = 33.4°, I 15
- 2θ = 45.7°, I 12
- 2θ = 55.1°, I 16

Record 5
# RbOs2C
Computed XRD peak list, a wavelength of 1.5418 Å. Input: a cell relaxed with PBE.
No peak broadening, texture or thermal motion is included.

Crystal structure
abc: 8.9127 8.9127 8.9127
angles: 90.00 90.00 90.00
Space group Fd-3m (No. 227, origin choice 2)
Inequivalent atoms, fractional coordinates:
Rb  0.1250  0.1250  0.1250
Os  0.0000  0.0000  0.5000
C  0.1250  0.1250  0.6250

Main lines, sorted by position (10° ≤ 2θ ≤ 90°):
- 2θ = 17.2°, I 51
- 2θ = 33.3°, I 100
- 2θ = 34.9°, I 71
- 2θ = 53.4°, I 36
- 2θ = 58.6°, I 38
- 2θ = 70.0°, I 29

Record 6
# Os2RuC
Computed XRD peak list, a wavelength of 1.5418 Å. Input: a cell relaxed with PBE.
No peak broadening, texture or thermal motion is included.

Crystal structure
abc: 2.7442 2.7765 12.8982
angles: 90.00 90.00 90.00
Space group Amm2 (No. 38)
Inequivalent atoms, fractional coordinates:
Os  0.0000  0.0000  0.0000
Os  0.5000  0.0000  0.3623
Ru  0.0000  0.0000  0.6954
C  0.5000  0.0000  0.1296

Main lines, sorted by position (10° ≤ 2θ ≤ 90°):
- 2θ = 13.7°, I 47
- 2θ = 35.6°, I 46
- 2θ = 38.6°, I 100
- 2θ = 43.3°, I 63
- 2θ = 47.1°, I 73
- 2θ = 70.3°, I 32